Record 1
Diffraction record for AlOF3. The powder X-ray diffraction pattern is calculated, not measured: it uses DFT lattice parameters and positions (GGA-PBE) and copper Kα.
Kinematic intensities with the Lorentz-polarization factor, no thermal factor.

Structural model:
```
data_AlOF3
_chemical_formula_sum 'Al1 O1 F3'
_cell_length_a 3.965
_cell_length_b 3.965
_cell_length_c 3.556
_cell_angle_alpha 90.00
_cell_angle_beta 90.00
_cell_angle_gamma 90.00
_symmetry_space_group_name_H-M 'P 4/m m m'
_symmetry_Int_Tables_number 123
_symmetry_space_group_name_Hall '-P 4 2'
loop_
_atom_site_label
_atom_site_type_symbol
_atom_site_fract_x
_atom_site_fract_y
_atom_site_fract_z
Al1 Al 0.000 0.000 0.000
O1 O 0.500 0.500 0.000
F1 F 0.000 0.000 0.500
F2 F 0.000 0.500 0.000
```

Main lines, by angle (2θ from 10° to 90°):
| two_theta | I_rel |
| --- | --- |
| 22.4 | 57 |
| 25.0 | 100 |
| 31.9 | 14 |
| 45.8 | 83 |
| 51.4 | 28 |
| 52.9 | 39 |
| 66.7 | 21 |
| 71.2 | 33 |
| 72.5 | 13 |
| 88.9 | 16 |

Record 2
Diffraction record for Al3O4F2. The powder X-ray diffraction pattern is calculated, not measured: it uses DFT lattice parameters and positions (GGA-PBE) and copper Kα.
Kinematic intensities with the Lorentz-polarization factor, no thermal factor.

Structural model:
```
data_Al3O4F2
_chemical_formula_sum 'Al12 O16 F8'
_cell_length_a 9.101
_cell_length_b 8.635
_cell_length_c 4.853
_cell_angle_alpha 90.00
_cell_angle_beta 90.00
_cell_angle_gamma 90.00
_symmetry_space_group_name_H-M 'P n m a'
_symmetry_Int_Tables_number 62
loop_
_symmetry_equiv_pos_as_xyz
'x,y,z'
'-x,-y,-z'
'-x+1/2,-y,z+1/2'
'x+1/2,y,-z+1/2'
'x+1/2,-y+1/2,-z+1/2'
'-x+1/2,y+1/2,z+1/2'
'-x,y+1/2,-z'
'x,-y+1/2,z'
loop_
_atom_site_label
_atom_site_type_symbol
_atom_site_fract_x
_atom_site_fract_y
_atom_site_fract_z
Al1 Al 0.062 0.250 0.102
Al2 Al 0.130 0.581 0.414
O1 O 0.010 0.086 0.300
O2 O 0.034 0.750 0.221
O3 O 0.247 0.750 0.531
F1 F 0.248 0.553 0.107
```

Main lines, by angle (2θ from 10° to 90°):
| two_theta | I_rel |
| --- | --- |
| 23.2 | 91 |
| 26.9 | 85 |
| 28.5 | 35 |
| 29.4 | 100 |
| 37.0 | 53 |
| 41.5 | 64 |
| 42.2 | 31 |
| 52.8 | 41 |
| 63.4 | 46 |
| 66.3 | 43 |